This entry pairs a crystal structure of KAl2NiP3H4O14 with its calculated powder XRD pattern. Radiation: CuKα. Structure: a structure optimized by DFT (PBE+U).
Intensities are scaled so that the largest is 100.

Main lines, low angle first (2θ from 15° to 90°):
| two_theta | Rel. int. |
| --- | --- |
| 16.9 | 100.0 |
| 20.5 | 17.0 |
| 21.2 | 41.8 |
| 26.7 | 27.6 |
| 27.3 | 32.6 |
| 28.3 | 22.4 |
| 28.5 | 29.5 |
| 29.0 | 52.9 |
| 29.8 | 77.7 |
| 33.7 | 32.4 |
| 36.2 | 26.6 |
| 44.7 | 20.6 |

Atomic structure:
a = 8.341 Å, b = 8.341 Å, c = 8.787 Å
α = 104.10°, β = 104.10°, γ = 74.88°
Element x y z (fractional)
K (0.136, 0.864, 0.750)
K (0.864, 0.136, 0.250)
Al (0.253, 0.405, 0.429)
Al (0.405, 0.253, 0.929)
Al (0.595, 0.747, 0.071)
Al (0.747, 0.595, 0.571)
Ni (0.222, 0.778, 0.250)
Ni (0.778, 0.222, 0.750)
P (0.083, 0.334, 0.676)
P (0.334, 0.083, 0.176)
P (0.498, 0.502, 0.250)
P (0.502, 0.498, 0.750)
P (0.666, 0.917, 0.824)
P (0.917, 0.666, 0.324)
H (0.023, 0.276, 0.000)
H (0.132, 0.577, 0.952)
H (0.276, 0.023, 0.500)
H (0.423, 0.868, 0.548)
H (0.577, 0.132, 0.452)
H (0.724, 0.977, 0.500)
H (0.868, 0.423, 0.048)
H (0.977, 0.724, 0.000)
O (0.001, 0.193, 0.683)
O (0.041, 0.495, 0.342)
O (0.101, 0.695, 0.011)
O (0.179, 0.272, 0.534)
O (0.193, 0.001, 0.183)
O (0.211, 0.378, 0.835)
O (0.272, 0.179, 0.034)
O (0.305, 0.899, 0.489)
O (0.329, 0.528, 0.307)
O (0.348, 0.526, 0.614)
O (0.378, 0.211, 0.335)
O (0.472, 0.671, 0.193)
O (0.474, 0.652, 0.886)
O (0.495, 0.041, 0.842)
O (0.505, 0.959, 0.158)
O (0.526, 0.348, 0.114)
O (0.528, 0.329, 0.807)
O (0.622, 0.789, 0.665)
O (0.652, 0.474, 0.386)
O (0.671, 0.472, 0.693)
O (0.695, 0.101, 0.511)
O (0.728, 0.821, 0.966)
O (0.789, 0.622, 0.165)
O (0.807, 0.999, 0.817)
O (0.821, 0.728, 0.466)
O (0.899, 0.305, 0.989)
O (0.959, 0.505, 0.658)
O (0.999, 0.807, 0.317)